(1)
For MgCr2Fe4O10, a GGA+U-relaxed structure gives the simulated X-ray powder pattern in this record (λ = 1.5418 Å (Cu Kα)).
Peak positions follow from Bragg's law for the DFT cell and can differ from measured ones.

Peak list (10 most intense, 10° ≤ 2θ ≤ 90°, sorted by position)
d (Å), 2θ/deg, Rel. int.
4.962, 17.88, 54
3.594, 24.77, 100
3.003, 29.75, 57
2.718, 32.96, 78
2.550, 35.20, 56
2.511, 35.76, 48
2.130, 42.44, 49
1.928, 47.15, 70
1.572, 58.72, 25
1.517, 61.07, 23

Cell and atoms:
```
17
Lattice="4.990 -1.928 0.000 4.990 1.928 0.000 -1.113 0.000 10.443" Properties=species:S:1:pos:R:3 pbc="T T T"
Mg 0.000 0.000 0.000
Cr 2.560 0.000 7.677
Cr 6.307 0.000 2.767
Fe 3.146 0.000 1.091
Fe 3.051 0.000 4.671
Fe 5.816 0.000 5.772
Fe 5.721 0.000 9.352
O 0.823 0.000 9.782
O 1.379 0.000 6.023
O 1.913 0.000 2.595
O 3.990 0.000 6.412
O 3.809 0.000 9.202
O 5.058 0.000 1.241
O 4.877 0.000 4.031
O 6.954 0.000 7.848
O 7.488 0.000 4.420
O 8.044 0.000 0.662
```


(2)
For MnSnB2O6, a GGA+U-relaxed structure gives the simulated X-ray powder pattern in this record (λ = 1.5418 Å (Cu Kα)).
Peak positions follow from Bragg's law for the DFT cell and can differ from measured ones.

Peak list (10 most intense, 10° ≤ 2θ ≤ 90°, sorted by position)
d (Å), 2θ/deg, Rel. int.
4.042, 21.99, 23
3.686, 24.14, 83
2.850, 31.39, 100
2.417, 37.20, 31
2.191, 41.21, 21
2.021, 44.84, 29
1.768, 51.69, 44
1.764, 51.82, 22
1.550, 59.64, 22
1.466, 63.47, 18

Cell and atoms:
```
10
Lattice="2.417 1.395 5.189 -2.417 1.395 5.189 0.000 -2.791 5.189" Properties=species:S:1:pos:R:3 pbc="T T T"
Mn 0.000 0.000 0.000
Sn 0.000 0.000 7.783
B 0.000 0.000 3.807
B 0.000 0.000 11.759
O -1.680 -0.221 6.550
O -0.649 -1.566 9.016
O 1.031 -1.345 6.550
O -1.031 1.345 9.016
O 0.649 1.566 6.550
O 1.680 0.221 9.016
```


(3)
For LiVSiO4, a GGA+U-relaxed structure gives the simulated X-ray powder pattern in this record (λ = 1.5418 Å (Cu Kα)).
Peak positions follow from Bragg's law for the DFT cell and can differ from measured ones.

Peak list (10 most intense, 10° ≤ 2θ ≤ 90°, sorted by position)
d (Å), 2θ/deg, Rel. int.
4.139, 21.47, 99
4.080, 21.78, 100
3.799, 23.42, 17
3.212, 27.78, 15
2.853, 31.35, 36
2.734, 32.75, 21
2.603, 34.45, 32
2.546, 35.25, 37
2.195, 41.13, 22
1.547, 59.79, 18

Cell and atoms:
```
28
Lattice="10.412 0.000 0.000 0.000 5.092 0.000 0.000 0.000 6.821" Properties=species:S:1:pos:R:3 pbc="T T T"
Li 1.625 0.944 0.000
Li 3.581 3.490 3.411
Li 6.831 1.602 0.000
Li 8.787 4.148 3.411
V 1.652 0.932 3.384
V 3.554 3.477 6.795
V 6.858 1.614 3.384
V 8.761 4.160 6.795
Si 0.972 3.472 5.124
Si 4.234 0.926 1.714
Si 6.178 4.166 5.124
Si 9.441 1.620 1.714
O 0.627 1.243 1.774
O 1.217 1.846 5.050
O 1.678 4.135 3.791
O 1.730 4.064 6.465
O 3.476 1.518 3.055
O 3.528 1.589 0.380
O 3.989 4.392 1.639
O 4.580 3.789 5.184
O 5.833 1.303 1.774
O 6.423 0.700 5.050
O 6.885 3.503 3.791
O 6.937 3.574 6.465
O 8.682 1.028 3.055
O 8.734 0.957 0.380
O 9.195 3.246 1.639
O 9.786 3.848 5.184
```


(4)
For Rb2CrF6, a GGA+U-relaxed structure gives the simulated X-ray powder pattern in this record (λ = 1.5418 Å (Cu Kα)).
Peak positions follow from Bragg's law for the DFT cell and can differ from measured ones.

Peak list (10 most intense, 10° ≤ 2θ ≤ 90°, sorted by position)
d (Å), 2θ/deg, Rel. int.
5.031, 17.63, 61
4.278, 20.77, 15
3.110, 28.71, 100
3.025, 29.53, 46
2.515, 35.70, 74
2.264, 39.81, 28
2.139, 42.25, 48
1.813, 50.34, 17
1.762, 51.88, 33
1.555, 59.45, 28

Cell and atoms:
```
9
Lattice="-3.025 3.025 4.529 3.025 -3.025 4.529 3.025 3.025 -4.529" Properties=species:S:1:pos:R:3 pbc="T T T"
Rb 3.025 0.000 2.264
Rb 0.000 3.025 2.264
Cr 0.000 0.000 0.000
F 0.000 0.000 1.898
F 1.305 1.305 0.000
F 1.720 -1.720 4.529
F -1.720 1.720 4.529
F 1.720 1.720 4.529
F 0.000 0.000 7.160
```


(5)
For CrRuN6F6, a GGA+U-relaxed structure gives the simulated X-ray powder pattern in this record (λ = 1.5418 Å (Cu Kα)).
Peak positions follow from Bragg's law for the DFT cell and can differ from measured ones.

Peak list (10 most intense, 10° ≤ 2θ ≤ 90°, sorted by position)
d (Å), 2θ/deg, Rel. int.
4.812, 18.44, 100
3.402, 26.19, 47
2.902, 30.82, 8
2.778, 32.22, 19
2.152, 41.99, 16
1.964, 46.21, 22
1.701, 53.89, 11
1.604, 57.46, 17
1.522, 60.88, 10
1.286, 73.67, 9

Cell and atoms:
```
56
Lattice="9.623 0.000 0.000 0.000 9.623 0.000 0.000 0.000 9.623" Properties=species:S:1:pos:R:3 pbc="T T T"
Cr 0.000 0.000 0.000
Cr 0.000 4.812 4.812
Cr 4.812 0.000 4.812
Cr 4.812 4.812 0.000
Ru 0.000 0.000 4.812
Ru 0.000 4.812 0.000
Ru 4.812 0.000 0.000
Ru 4.812 4.812 4.812
N 0.600 1.108 6.301
N 0.600 3.703 1.490
N 1.108 6.301 0.600
N 1.108 8.134 5.412
N 1.490 0.600 3.703
N 1.490 4.211 8.515
N 3.322 5.412 3.703
N 3.322 9.023 8.515
N 3.703 1.490 0.600
N 3.703 3.322 5.412
N 4.211 5.920 6.301
N 4.211 8.515 1.490
N 5.412 1.108 8.134
N 5.412 3.703 3.322
N 5.920 6.301 4.211
N 5.920 8.134 9.023
N 6.301 0.600 1.108
N 6.301 4.211 5.920
N 8.134 5.412 1.108
N 8.134 9.023 5.920
N 8.515 1.490 4.211
N 8.515 3.322 9.023
N 9.023 5.920 8.134
N 9.023 8.515 3.322
F 0.603 5.967 3.573
F 0.603 8.468 8.385
F 1.155 1.238 9.020
F 1.155 3.573 4.209
F 1.238 5.415 5.967
F 1.238 9.020 1.155
F 3.573 0.603 5.967
F 3.573 4.209 1.155
F 3.657 6.050 9.020
F 3.657 8.385 4.209
F 4.209 1.155 3.573
F 4.209 3.657 8.385
F 5.415 5.967 1.238
F 5.415 8.468 6.050
F 5.967 1.238 5.415
F 5.967 3.573 0.603
F 6.050 5.415 8.468
F 6.050 9.020 3.657
F 8.385 0.603 8.468
F 8.385 4.209 3.657
F 8.468 6.050 5.415
F 8.468 8.385 0.603
F 9.020 1.155 1.238
F 9.020 3.657 6.050
```


(6)
For CoPO4, a GGA+U-relaxed structure gives the simulated X-ray powder pattern in this record (λ = 1.5418 Å (Cu Kα)).
Peak positions follow from Bragg's law for the DFT cell and can differ from measured ones.

Peak list (10 most intense, 10° ≤ 2θ ≤ 90°, sorted by position)
d (Å), 2θ/deg, Rel. int.
7.014, 12.62, 19
4.301, 20.65, 36
4.108, 21.63, 100
4.050, 21.95, 14
3.507, 25.40, 54
3.249, 27.45, 18
2.809, 31.86, 50
2.651, 33.81, 45
1.859, 49.00, 24
1.425, 65.51, 24

Cell and atoms:
```
36
Lattice="7.014 4.050 3.066 -7.014 4.050 3.066 0.000 -8.099 3.066" Properties=species:S:1:pos:R:3 pbc="T T T"
Co -1.350 -5.571 3.066
Co -4.150 3.954 3.066
Co -2.907 0.198 4.606
Co 1.282 -2.617 4.606
Co 1.625 2.419 4.606
Co 5.500 1.617 3.066
P -5.655 1.562 4.541
P 1.475 -5.678 4.541
P -1.577 -2.392 6.069
P -1.283 2.562 6.069
P 2.860 -0.170 6.069
P 4.180 4.117 4.541
O -4.770 0.282 4.472
O -2.434 0.666 2.846
O -5.013 -2.522 6.476
O -0.060 -5.486 4.378
O 0.640 -2.441 2.846
O -4.721 2.795 4.378
O -2.336 -3.743 5.950
O -2.067 -1.400 4.994
O 2.140 -4.272 4.472
O 1.794 1.775 2.846
O -0.071 -2.679 5.888
O -2.285 1.401 5.888
O -1.826 -1.790 7.476
O -0.179 2.490 4.994
O 2.246 -1.090 4.994
O -2.074 3.894 5.950
O 2.629 3.990 4.472
O 2.355 1.278 5.888
O -0.637 2.476 7.476
O 4.690 -3.080 6.476
O 4.781 2.691 4.378
O 4.410 -0.151 5.950
O 0.323 5.602 6.476
O 2.463 -0.686 7.476
```


> What is the formula in the second record?

MnSnB2O6